1.
The following is a simulated XRD peak list of Tc6SnW2. It was derived from the GGA-PBE geometry in OQMD, using Cu Kα.

Top 10 peaks for 10 to 80 degrees two-theta, in order of rising 2θ:
2θ = 23.50°, rel. 27; 2θ = 23.71°, rel. 26; 2θ = 24.54°, rel. 16; 2θ = 24.74°, rel. 16; 2θ = 39.98°, rel. 100; 2θ = 42.73°, rel. 26; 2θ = 44.38°, rel. 21; 2θ = 48.08°, rel. 24; 2θ = 48.52°, rel. 23; 2θ = 49.59°, rel. 18

Structure:
```
9
Lattice="3.7529 0.0000 0.0000 0.0000 3.7849 0.0000 0.0000 0.0000 12.6973" Properties=species:S:1:pos:R:3 pbc="T T T"
Tc 0.0000 0.0000 0.0000
Tc 0.0000 0.0000 6.3486
Tc 0.0000 1.8924 2.2182
Tc 0.0000 1.8924 10.4790
Tc 1.8764 0.0000 2.2126
Tc 1.8764 0.0000 10.4847
Sn 1.8764 1.8924 0.0000
W 0.0000 0.0000 3.9665
W 0.0000 0.0000 8.7307
```

2.
The following is a simulated XRD peak list of Nd2CdAsP. It was derived from the GGA-PBE geometry in OQMD, using Cu Kα.

Top 10 peaks for 10 to 80 degrees two-theta, in order of rising 2θ:
2θ = 25.95°, rel. 33; 2θ = 29.29°, rel. 27; 2θ = 29.41°, rel. 27; 2θ = 32.28°, rel. 24; 2θ = 32.48°, rel. 100; 2θ = 33.89°, rel. 23; 2θ = 35.54°, rel. 46; 2θ = 38.21°, rel. 30; 2θ = 43.14°, rel. 25; 2θ = 43.58°, rel. 28

Structure:
```
10
Lattice="2.0766 -9.2121 0.0000 2.0766 9.2121 0.0000 0.0000 0.0000 6.4617" Properties=species:S:1:pos:R:3 pbc="T T T"
Nd 2.0766 8.8049 3.2308
Nd 2.0766 5.4953 1.1720
Nd 2.0766 -5.4953 4.4029
Nd 2.0766 -8.8049 0.0000
Cd 2.0766 2.0846 1.9490
Cd 2.0766 -2.0846 5.1798
As 2.0766 1.5771 4.6134
As 2.0766 -1.5771 1.3826
P 2.0766 5.8133 4.2496
P 2.0766 -5.8133 1.0188
```

3.
The following is a simulated XRD peak list of NaFe3Sn5. It was derived from the GGA-PBE geometry in OQMD, using Cu Kα.

Top 10 peaks for 10 to 80 degrees two-theta, in order of rising 2θ:
2θ = 10.69°, rel. 56; 2θ = 19.65°, rel. 30; 2θ = 29.27°, rel. 89; 2θ = 32.46°, rel. 35; 2θ = 34.39°, rel. 100; 2θ = 40.90°, rel. 50; 2θ = 41.44°, rel. 37; 2θ = 45.77°, rel. 82; 2θ = 56.80°, rel. 28; 2θ = 58.48°, rel. 27

Structure:
```
9
Lattice="5.2157 0.0000 0.0000 -2.6079 4.5169 0.0000 0.0000 0.0000 8.2754" Properties=species:S:1:pos:R:3 pbc="T T T"
Na 0.0000 0.0000 0.0000
Fe -1.3039 2.2585 4.1377
Fe 2.6079 0.0000 4.1377
Fe 1.3039 2.2585 4.1377
Sn 0.0000 0.0000 4.1377
Sn 0.0000 3.0113 1.8136
Sn 0.0000 3.0113 6.4618
Sn 2.6079 1.5056 1.8136
Sn 2.6079 1.5056 6.4618
```

4.
The following is a simulated XRD peak list of Cu7Ag3. It was derived from the GGA-PBE geometry in OQMD, using Cu Kα.

Top 10 peaks for 10 to 80 degrees two-theta, in order of rising 2θ:
2θ = 40.89°, rel. 51; 2θ = 40.97°, rel. 100; 2θ = 41.78°, rel. 47; 2θ = 47.81°, rel. 63; 2θ = 48.03°, rel. 30; 2θ = 69.32°, rel. 9; 2θ = 69.48°, rel. 9; 2θ = 69.59°, rel. 9; 2θ = 70.57°, rel. 18; 2θ = 70.75°, rel. 9

Structure:
```
10
Lattice="4.6028 0.0000 0.0000 -0.8058 4.6092 0.0000 -2.1952 -1.9431 6.4647" Properties=species:S:1:pos:R:3 pbc="T T T"
Cu 0.0000 0.0000 0.0000
Cu -0.7091 -0.9049 4.4832
Cu 0.0003 2.4406 1.3276
Cu 0.7730 0.0696 2.5968
Cu 0.8288 2.5964 3.8679
Cu 1.6016 0.2254 5.1371
Cu 2.3110 3.5709 1.9815
Ag -1.5005 1.3330 3.2323
Ag -0.6910 1.4767 5.8089
Ag 2.2928 1.1894 0.6558
```

5.
The following is a simulated XRD peak list of Ni2Pd3. It was derived from the GGA-PBE geometry in OQMD, using Cu Kα.

Top 10 peaks for 10 to 80 degrees two-theta, in order of rising 2θ:
2θ = 35.12°, rel. 26; 2θ = 35.37°, rel. 100; 2θ = 43.15°, rel. 49; 2θ = 43.79°, rel. 20; 2θ = 44.63°, rel. 34; 2θ = 45.13°, rel. 23; 2θ = 48.51°, rel. 27; 2θ = 52.46°, rel. 22; 2θ = 57.50°, rel. 21; 2θ = 68.03°, rel. 18

Structure:
```
10
Lattice="3.2506 1.8767 4.0607 -3.2506 1.8767 4.0607 0.0000 -3.7535 4.0607" Properties=species:S:1:pos:R:3 pbc="T T T"
Ni 0.0000 0.0000 1.1152
Ni 0.0000 0.0000 4.9758
Ni 0.0000 0.0000 7.2062
Ni 0.0000 0.0000 11.0669
Pd -2.4197 -0.4376 5.0758
Pd -0.8309 -2.3144 7.1062
Pd 1.5889 -1.8767 5.0758
Pd -1.5889 1.8767 7.1062
Pd 0.8309 2.3144 5.0758
Pd 2.4197 0.4376 7.1062
```

6.
The following is a simulated XRD peak list of TbTmNi2Ge4. It was derived from the GGA-PBE geometry in OQMD, using Cu Kα.

Top 10 peaks for 10 to 80 degrees two-theta, in order of rising 2θ:
2θ = 31.12°, rel. 15; 2θ = 34.68°, rel. 100; 2θ = 38.77°, rel. 20; 2θ = 43.26°, rel. 22; 2θ = 44.51°, rel. 19; 2θ = 48.61°, rel. 11; 2θ = 56.58°, rel. 14; 2θ = 60.47°, rel. 11; 2θ = 63.81°, rel. 13; 2θ = 75.61°, rel. 10

Structure:
```
16
Lattice="4.1829 0.0000 0.0000 0.0000 4.0708 0.0000 0.0000 0.0000 16.7589" Properties=species:S:1:pos:R:3 pbc="T T T"
Tb 0.0000 0.0000 0.0000
Tb 0.0000 2.0354 8.3795
Tm 2.0914 0.0000 13.1364
Tm 2.0914 2.0354 4.7569
Ni 0.0000 0.0000 3.5992
Ni 0.0000 2.0354 11.9786
Ni 2.0914 0.0000 9.5554
Ni 2.0914 2.0354 1.1759
Ge 0.0000 0.0000 5.8862
Ge 0.0000 0.0000 10.7431
Ge 0.0000 2.0354 2.3637
Ge 0.0000 2.0354 14.2657
Ge 2.0914 0.0000 2.4218
Ge 2.0914 0.0000 7.2485
Ge 2.0914 2.0354 10.8013
Ge 2.0914 2.0354 15.6280
```